# 1
For CeAl2Pd5, a crystal structure in the Materials Project, relaxed with GGA-PBE gives the computed powder diffractogram in this record (Cu Kα (λ = 1.5418 Å)).

Largest 10 diffraction maxima, in order of rising 2θ, 2θ from 10° to 90°:
2θ 32.4, 2.762 Å, I = 32, (1 1 2); 2θ 36.1, 2.487 Å, I = 16, (0 0 6); 2θ 38.7, 2.325 Å, I = 100, (1 1 4); 2θ 43.0, 2.102 Å, I = 43, (2 0 0); 2θ 48.8, 1.865 Å, I = 8, (0 0 8); 2θ 57.4, 1.606 Å, I = 16, (2 0 6); 2θ 62.5, 1.487 Å, I = 14, (2 2 0); 2θ 67.1, 1.395 Å, I = 12, (2 0 8); 2θ 70.6, 1.334 Å, I = 13, (1 1 10); 2θ 76.0, 1.252 Å, I = 27, (3 1 4)

Structure:
```
data_CeAl2Pd5
_chemical_formula_sum 'Ce2 Al4 Pd10'
_cell_length_a 4.2046
_cell_length_b 4.2046
_cell_length_c 14.9227
_cell_angle_alpha 90.00
_cell_angle_beta 90.00
_cell_angle_gamma 90.00
_symmetry_space_group_name_H-M 'I 4/m m m'
_symmetry_Int_Tables_number 139
_symmetry_space_group_name_Hall '-I 4 2'
loop_
_atom_site_label
_atom_site_type_symbol
_atom_site_fract_x
_atom_site_fract_y
_atom_site_fract_z
Ce1 Ce 0.0000 0.0000 0.0000
Al1 Al 0.0000 0.0000 0.2532
Pd1 Pd 0.0000 0.0000 0.5000
Pd2 Pd 0.0000 0.5000 0.1451
```

=====

# 2
For CeAl2Pd2, a crystal structure in the Materials Project, relaxed with GGA-PBE gives the computed powder diffractogram in this record (Cu Kα (λ = 1.5418 Å)).

Largest 10 diffraction maxima, in order of rising 2θ, 2θ from 10° to 90°:
2θ 29.3, 3.047 Å, I = 18, (1 1 0); 2θ 30.6, 2.923 Å, I = 30, (1 1 1); 2θ 33.2, 2.698 Å, I = 66, (1 0 3); 2θ 34.1, 2.628 Å, I = 100, (1 1 2); 2θ 41.9, 2.154 Å, I = 58, (2 0 0); 2θ 48.7, 1.871 Å, I = 28, (1 0 5); 2θ 54.5, 1.684 Å, I = 32, (2 1 3); 2θ 60.8, 1.523 Å, I = 19, (2 2 0); 2θ 66.2, 1.413 Å, I = 22, (2 1 5); 2θ 71.6, 1.318 Å, I = 23, (3 1 2)

Structure:
```
data_CeAl2Pd2
_chemical_formula_sum 'Ce2 Al4 Pd4'
_cell_length_a 4.3087
_cell_length_b 4.3087
_cell_length_c 10.3834
_cell_angle_alpha 90.00
_cell_angle_beta 90.00
_cell_angle_gamma 90.00
_symmetry_space_group_name_H-M 'P 4/n m m'
_symmetry_Int_Tables_number 129
loop_
_symmetry_equiv_pos_as_xyz
'x,y,z'
'-x,-y,-z'
'-y+1/2,x,z'
'y+1/2,-x,-z'
'-x+1/2,-y+1/2,z'
'x+1/2,y+1/2,-z'
'y,-x+1/2,z'
'-y,x+1/2,-z'
'x+1/2,-y,-z'
'-x+1/2,y,z'
'-y,-x,-z'
'y,x,z'
'-x,y+1/2,-z'
'x,-y+1/2,z'
'y+1/2,x+1/2,-z'
'-y+1/2,-x+1/2,z'
loop_
_atom_site_label
_atom_site_type_symbol
_atom_site_fract_x
_atom_site_fract_y
_atom_site_fract_z
Ce1 Ce 0.2500 0.2500 0.2492
Al1 Al 0.2500 0.2500 0.6255
Al2 Al 0.2500 0.7500 0.0000
Pd1 Pd 0.2500 0.2500 0.8675
Pd2 Pd 0.2500 0.7500 0.5000
```

=====

# 3
For CeAlPd, a crystal structure in the Materials Project, relaxed with GGA-PBE gives the computed powder diffractogram in this record (Cu Kα (λ = 1.5418 Å)).

Largest 10 diffraction maxima, in order of rising 2θ, 2θ from 10° to 90°:
2θ 24.8, 3.591 Å, I = 26, (1 1 0); 2θ 28.7, 3.110 Å, I = 23, (2 0 0); 2θ 32.9, 2.724 Å, I = 67, (1 1 1); 2θ 36.0, 2.495 Å, I = 100, (2 0 1); 2θ 38.3, 2.351 Å, I = 20, (2 1 0); 2θ 43.3, 2.090 Å, I = 23, (0 0 2); 2θ 43.7, 2.074 Å, I = 20, (3 0 0); 2θ 44.2, 2.049 Å, I = 20, (2 1 1); 2θ 57.8, 1.595 Å, I = 21, (3 1 1); 2θ 69.6, 1.351 Å, I = 17, (3 2 1)

Structure:
```
data_CeAlPd
_chemical_formula_sum 'Ce3 Al3 Pd3'
_cell_length_a 7.1829
_cell_length_b 7.1829
_cell_length_c 4.1795
_cell_angle_alpha 90.00
_cell_angle_beta 90.00
_cell_angle_gamma 120.00
_symmetry_space_group_name_H-M 'P -6 2 m'
_symmetry_Int_Tables_number 189
_symmetry_space_group_name_Hall 'P -6 -2'
loop_
_atom_site_label
_atom_site_type_symbol
_atom_site_fract_x
_atom_site_fract_y
_atom_site_fract_z
Ce1 Ce 0.0000 0.4223 0.0000
Al1 Al 0.0000 0.7666 0.5000
Pd1 Pd 0.0000 0.0000 0.0000
Pd2 Pd 0.3333 0.6667 0.5000
```

=====

# 4
For Ce3Al3Pd2Pt, a crystal structure in the Materials Project, relaxed with GGA-PBE gives the computed powder diffractogram in this record (Cu Kα (λ = 1.5418 Å)).

Largest 10 diffraction maxima, in order of rising 2θ, 2θ from 10° to 90°:
2θ 25.9, 3.438 Å, I = 19, (1 0 -6); 2θ 26.1, 3.411 Å, I = 54, (1 0 6); 2θ 26.2, 3.398 Å, I = 37, (1 1 3); 2θ 32.9, 2.720 Å, I = 50, (1 1 -6); 2θ 33.1, 2.709 Å, I = 53, (1 1 6); 2θ 34.0, 2.639 Å, I = 100, (2 1 -3); 2θ 34.1, 2.630 Å, I = 81, (2 1 3); 2θ 40.2, 2.242 Å, I = 41, (0 1 9); 2θ 40.6, 2.222 Å, I = 59, (0 2 0); 2θ 69.7, 1.350 Å, I = 26, (2 3 -3)

Structure:
```
data_Ce3Al3Pd2Pt
_chemical_formula_sum 'Ce12 Al12 Pd8 Pt4'
_cell_length_a 7.2113
_cell_length_b 4.4443
_cell_length_c 23.3750
_cell_angle_alpha 90.00
_cell_angle_beta 90.43
_cell_angle_gamma 90.00
_symmetry_space_group_name_H-M 'P 1 m 1'
_symmetry_Int_Tables_number 6
loop_
_symmetry_equiv_pos_as_xyz
'x,y,z'
'x,-y,z'
loop_
_atom_site_label
_atom_site_type_symbol
_atom_site_fract_x
_atom_site_fract_y
_atom_site_fract_z
Ce1 Ce 0.0000 0.0000 0.0000
Ce2 Ce 0.0004 0.0000 0.3334
Ce3 Ce 0.9998 0.0000 0.6668
Ce4 Ce 0.4393 0.5000 0.1677
Ce5 Ce 0.4401 0.5000 0.8340
Ce6 Ce 0.4409 0.5000 0.5010
Ce7 Ce 0.5010 0.0000 0.3817
Ce8 Ce 0.5042 0.0000 0.7151
Ce9 Ce 0.5046 0.0000 0.0482
Ce10 Ce 0.9408 0.5000 0.2144
Ce11 Ce 0.9419 0.5000 0.5475
Ce12 Ce 0.9415 0.5000 0.8811
Al1 Al 0.1198 0.0000 0.1300
Al2 Al 0.1208 0.0000 0.7967
Al3 Al 0.1215 0.0000 0.4628
Al4 Al 0.3250 0.5000 0.2981
Al5 Al 0.3267 0.5000 0.6312
Al6 Al 0.3267 0.5000 0.9641
Al7 Al 0.6215 0.0000 0.2525
Al8 Al 0.6221 0.0000 0.5858
Al9 Al 0.6216 0.0000 0.9188
Al10 Al 0.8223 0.5000 0.0846
Al11 Al 0.8218 0.5000 0.7513
Al12 Al 0.8248 0.5000 0.4173
Pd1 Pd 0.1856 0.5000 0.0707
Pd2 Pd 0.1857 0.5000 0.7375
Pd3 Pd 0.2571 0.0000 0.2374
Pd4 Pd 0.2574 0.0000 0.5707
Pd5 Pd 0.2577 0.0000 0.9040
Pd6 Pd 0.7577 0.0000 0.1451
Pd7 Pd 0.7578 0.0000 0.4783
Pd8 Pd 0.7576 0.0000 0.8117
Pt1 Pt 0.1887 0.5000 0.4038
Pt2 Pt 0.6892 0.5000 0.3113
Pt3 Pt 0.6909 0.5000 0.6452
Pt4 Pt 0.6906 0.5000 0.9783
```

=====

# 5
For Ce2YAl3Pd3, a crystal structure in the Materials Project, relaxed with GGA-PBE gives the computed powder diffractogram in this record (Cu Kα (λ = 1.5418 Å)).

Largest 10 diffraction maxima, in order of rising 2θ, 2θ from 10° to 90°:
2θ 24.7, 3.600 Å, I = 33, (0 3 1); 2θ 28.8, 3.098 Å, I = 20, (0 2 2); 2θ 32.9, 2.721 Å, I = 59, (1 3 1); 2θ 33.1, 2.707 Å, I = 36, (1 0 2); 2θ 35.9, 2.499 Å, I = 45, (1 4 0); 2θ 36.2, 2.484 Å, I = 100, (1 2 2); 2θ 43.5, 2.078 Å, I = 34, (2 0 0); 2θ 43.8, 2.065 Å, I = 23, (0 3 3); 2θ 44.1, 2.053 Å, I = 18, (1 5 1); 2θ 50.7, 1.800 Å, I = 20, (0 6 2)

Structure:
```
data_Ce2YAl3Pd3
_chemical_formula_sum 'Ce4 Y2 Al6 Pd6'
_cell_length_a 4.1566
_cell_length_b 12.5079
_cell_length_c 7.1330
_cell_angle_alpha 90.00
_cell_angle_beta 90.00
_cell_angle_gamma 90.00
_symmetry_space_group_name_H-M 'A m m 2'
_symmetry_Int_Tables_number 38
loop_
_symmetry_equiv_pos_as_xyz
'x,y,z'
'-x,-y,z'
'-x,y,z'
'x,-y,z'
'x,y+1/2,z+1/2'
'-x,-y+1/2,z+1/2'
'-x,y+1/2,z+1/2'
'x,-y+1/2,z+1/2'
loop_
_atom_site_label
_atom_site_type_symbol
_atom_site_fract_x
_atom_site_fract_y
_atom_site_fract_z
Ce1 Ce 0.0000 0.2112 0.0000
Y1 Y 0.0000 0.0000 0.3700
Al1 Al 0.5000 0.0000 0.0224
Al2 Al 0.5000 0.1154 0.6723
Pd1 Pd 0.0000 0.0000 0.7883
Pd2 Pd 0.5000 0.1678 0.2878
```

=====

# 6
For CeY2Al3Pd3, a crystal structure in the Materials Project, relaxed with GGA-PBE gives the computed powder diffractogram in this record (Cu Kα (λ = 1.5418 Å)).

Largest 10 diffraction maxima, in order of rising 2θ, 2θ from 10° to 90°:
2θ 24.4, 3.645 Å, I = 26, (0 0 2); 2θ 24.8, 3.596 Å, I = 28, (0 3 1); 2θ 28.4, 3.142 Å, I = 17, (0 2 2); 2θ 33.1, 2.703 Å, I = 30, (1 0 2); 2θ 33.4, 2.683 Å, I = 73, (1 3 1); 2θ 36.3, 2.478 Å, I = 100, (1 2 2); 2θ 36.6, 2.457 Å, I = 55, (1 4 0); 2θ 43.2, 2.095 Å, I = 27, (0 3 3); 2θ 44.5, 2.038 Å, I = 21, (1 4 2); 2θ 45.0, 2.016 Å, I = 35, (2 0 0)

Structure:
```
data_CeY2Al3Pd3
_chemical_formula_sum 'Ce2 Y4 Al6 Pd6'
_cell_length_a 4.0310
_cell_length_b 12.4011
_cell_length_c 7.2890
_cell_angle_alpha 90.00
_cell_angle_beta 90.00
_cell_angle_gamma 90.00
_symmetry_space_group_name_H-M 'A m m 2'
_symmetry_Int_Tables_number 38
loop_
_symmetry_equiv_pos_as_xyz
'x,y,z'
'-x,-y,z'
'-x,y,z'
'x,-y,z'
'x,y+1/2,z+1/2'
'-x,-y+1/2,z+1/2'
'-x,y+1/2,z+1/2'
'x,-y+1/2,z+1/2'
loop_
_atom_site_label
_atom_site_type_symbol
_atom_site_fract_x
_atom_site_fract_y
_atom_site_fract_z
Ce1 Ce 0.0000 0.0000 0.0000
Y1 Y 0.0000 0.2078 0.6272
Al1 Al 0.5000 0.0000 0.6536
Al2 Al 0.5000 0.1202 0.3010
Pd1 Pd 0.0000 0.0000 0.4189
Pd2 Pd 0.5000 0.1651 0.9200
```